1.
Structure and calculated powder diffractogram of NaTlCd2Pb (a crystal structure in Alexandria, relaxed with PBE; Cu Ka).
No peak broadening, texture or thermal motion is included.

Top 6 peaks for 2θ = 15–90°, sorted by position:
| index | 2θ/deg | d/Å | intensity |
| --- | --- | --- | --- |
| 0 0 2 | 16.60 | 5.340 | 47 |
| 1 1 0 | 24.79 | 3.591 | 81 |
| 0 4 1 | 25.79 | 3.455 | 45 |
| 1 1 2 | 29.99 | 2.980 | 57 |
| 0 4 3 | 35.21 | 2.549 | 100 |
| 1 1 3 | 35.51 | 2.528 | 66 |

Cell and atoms:
abc: 3.705 14.604 10.679
angles: 90.00 90.00 90.00
Space group Cmcm (No. 63)
Symmetry-distinct sites (fractional):
Na 0.000 0.000 0.000
Tl 0.000 0.318 0.250
Cd 0.000 0.308 0.571
Pb 0.000 0.461 0.750


2.
Structure and calculated powder diffractogram of Ho6AsAu2Se3 (a crystal structure in Alexandria, relaxed with PBE; Cu Ka).
No peak broadening, texture or thermal motion is included.

Top 6 peaks for 2θ = 15–90°, sorted by position:
| index | 2θ/deg | d/Å | intensity |
| --- | --- | --- | --- |
| 6 0 0 | 30.70 | 2.912 | 51 |
| 1 1 -2 | 30.89 | 2.895 | 100 |
| 7 1 -2 | 42.59 | 2.123 | 41 |
| 0 2 0 | 45.04 | 2.013 | 20 |
| 5 1 2 | 45.58 | 1.990 | 29 |
| 6 2 0 | 55.50 | 1.656 | 20 |

Cell and atoms:
abc: 18.414 4.025 8.369
angles: 90.00 108.39 90.00
Space group C2/m (No. 12)
Symmetry-distinct sites (fractional):
Ho 0.008 0.000 0.247
Ho 0.160 0.500 0.608
Ho 0.167 0.500 0.114
As 0.000 0.500 0.000
Au 0.182 0.000 0.379
Se 0.000 0.500 0.500
Se 0.161 0.000 0.859


3.
Structure and calculated powder diffractogram of AcFeNi (a crystal structure in Alexandria, relaxed with PBE; Cu Ka).
No peak broadening, texture or thermal motion is included.

Top 6 peaks for 2θ = 15–90°, sorted by position:
| index | 2θ/deg | d/Å | intensity |
| --- | --- | --- | --- |
| 1 0 1 | 19.69 | 4.510 | 41 |
| 2 0 0 | 26.21 | 3.400 | 66 |
| 2 1 1 | 32.99 | 2.715 | 77 |
| 1 1 2 | 35.15 | 2.553 | 100 |
| 3 0 1 | 42.61 | 2.122 | 32 |
| 4 1 1 | 57.97 | 1.591 | 27 |

Cell and atoms:
abc: 6.800 6.800 6.025
angles: 90.00 90.00 90.00
Space group P4_12_12 (No. 92)
Symmetry-distinct sites (fractional):
Ac 0.244 0.244 0.000
Fe 0.132 0.132 0.500
Ni 0.127 0.873 0.750


4.
Structure and calculated powder diffractogram of Pm8Pt2Rh3 (a crystal structure in Alexandria, relaxed with PBE; Cu Ka).
No peak broadening, texture or thermal motion is included.

Top 6 peaks for 2θ = 15–90°, sorted by position:
| index | 2θ/deg | d/Å | intensity |
| --- | --- | --- | --- |
| 0 0 2 | 21.88 | 4.061 | 32 |
| 2 0 2 | 36.08 | 2.490 | 100 |
| 0 2 0 | 36.16 | 2.484 | 99 |
| 2 2 2 | 51.95 | 1.760 | 24 |
| 1 3 -3 | 64.92 | 1.436 | 30 |
| 3 3 -1 | 65.04 | 1.434 | 30 |

Cell and atoms:
abc: 8.604 4.970 8.621
angles: 90.00 109.23 90.00
Space group P2/m (No. 10)
Symmetry-distinct sites (fractional):
Pm 0.123 0.000 0.376
Pm 0.125 0.500 0.871
Pm 0.371 0.500 0.624
Pm 0.377 0.000 0.124
Pt 0.252 0.500 0.247
Rh 0.000 0.500 0.500
Rh 0.251 0.000 0.751


5.
Structure and calculated powder diffractogram of CaRe2Si (a crystal structure in Alexandria, relaxed with PBE; Cu Ka).
No peak broadening, texture or thermal motion is included.

Top 6 peaks for 2θ = 15–90°, sorted by position:
| index | 2θ/deg | d/Å | intensity |
| --- | --- | --- | --- |
| 1 0 1 | 35.33 | 2.541 | 26 |
| 1 0 4 | 37.61 | 2.392 | 100 |
| 0 0 12 | 39.42 | 2.286 | 25 |
| 1 0 7 | 42.26 | 2.138 | 27 |
| 0 1 8 | 44.25 | 2.047 | 60 |
| 1 1 0 | 63.11 | 1.473 | 22 |

Cell and atoms:
abc: 2.9465 2.9465 27.4319
angles: 90.00 90.00 120.00
Space group R3m (No. 160, hexagonal axes)
Symmetry-distinct sites (fractional):
Ca 0.0000 0.0000 0.0000
Re 0.0000 0.0000 0.2401
Re 0.0000 0.0000 0.4976
Si 0.0000 0.0000 0.7612


6.
Structure and calculated powder diffractogram of BiClF8 (a crystal structure in Alexandria, relaxed with PBE; Cu Ka).
No peak broadening, texture or thermal motion is included.

Top 6 peaks for 2θ = 15–90°, sorted by position:
| index | 2θ/deg | d/Å | intensity |
| --- | --- | --- | --- |
| 0 1 0 | 15.03 | 5.894 | 68 |
| 1 0 0 | 16.27 | 5.448 | 52 |
| 0 0 2 | 16.50 | 5.371 | 57 |
| 1 1 0 | 21.44 | 4.144 | 67 |
| 0 1 2 | 22.39 | 3.970 | 100 |
| 1 0 2 | 22.62 | 3.931 | 51 |

Cell and atoms:
abc: 5.468 5.907 10.758
angles: 89.97 86.95 86.09
Space group P-1 (No. 2)
Symmetry-distinct sites (fractional):
Bi 0.000 0.000 0.000
Bi 0.000 0.000 0.500
Cl 0.398 0.625 0.254
F 0.111 0.791 0.150
F 0.128 0.275 0.080
F 0.160 0.181 0.362
F 0.172 0.695 0.424
F 0.289 0.035 0.607
F 0.326 0.935 0.904
F 0.404 0.505 0.658
F 0.441 0.429 0.875